Pm3Pu4N8: calculated XRD peak list (λ = 1.5418 Å (Cu Kα)), based on DFT lattice parameters and positions (PBE).
Peak positions follow from Bragg's law for the DFT cell and can differ from measured ones.

Largest 10 diffraction maxima, low angle first, 10° ≤ 2θ ≤ 90°:
- d 5.754, 2θ 15.40, intensity 23
- d 3.002, 2θ 29.76, intensity 12
- d 2.875, 2θ 31.11, intensity 100
- d 2.490, 2θ 36.07, intensity 69
- d 1.762, 2θ 51.89, intensity 24
- d 1.759, 2θ 51.98, intensity 24
- d 1.503, 2θ 61.72, intensity 16
- d 1.501, 2θ 61.79, intensity 23
- d 1.114, 2θ 87.57, intensity 9
- d 1.113, 2θ 87.69, intensity 9

Structure:
Unit cell a=7.0390 b=7.0390 c=7.0314 alpha=119.90 beta=119.90 gamma=90.06
Sites, in units of the cell vectors:
1 Pm 0.0000 0.0000 0.0000
2 Pm 0.0000 0.5000 0.5000
3 Pm 0.5000 0.0000 0.5000
4 Pu 0.0000 0.5000 0.0000
5 Pu 0.5000 0.0000 0.0000
6 Pu 0.5000 0.5000 0.0000
7 Pu 0.5000 0.5000 0.5000
8 N 0.2550 0.7450 0.0000
9 N 0.2796 0.7204 0.5000
10 N 0.2816 0.2816 0.0517
11 N 0.2932 0.2932 0.5134
12 N 0.7068 0.7068 0.4866
13 N 0.7184 0.7184 0.9483
14 N 0.7204 0.2796 0.5000
15 N 0.7450 0.2550 0.0000